# 1
SrPbAuO4: theoretical X-ray diffraction stick pattern (copper Kα), based on DFT lattice parameters and positions (PBE).

Cell and atoms:
a = 6.6549 Å, b = 10.0463 Å, c = 7.4461 Å
α = 90.00°, β = 90.00°, γ = 90.00°
Space group Cmcm (No. 63)
Inequivalent atoms, fractional coordinates:
Sr 0.0000 0.0000 0.0000 (multiplicity 4)
Pb 0.0000 0.3718 0.2500 (multiplicity 4)
Au 0.0000 0.2924 0.7500 (multiplicity 4)
O 0.0000 0.2508 0.0168 (multiplicity 8)
O 0.2444 0.4969 0.7500 (multiplicity 8)

Top 8 peaks for 15° ≤ 2θ ≤ 90°, in order of rising 2θ:
d [Å], 2θ/deg, I/Imax
5.548, 15.97, 25.2
3.723, 23.90, 45.5
3.327, 26.79, 85.1
3.091, 28.88, 94.2
2.991, 29.87, 100.0
2.776, 32.25, 75.6
2.224, 40.55, 36.7
1.862, 48.92, 32.5


# 2
TlPbAuO5: theoretical X-ray diffraction stick pattern (copper Kα), based on DFT lattice parameters and positions (PBE).

Cell and atoms:
a = 8.8854 Å, b = 9.6992 Å, c = 6.6926 Å
α = 90.00°, β = 122.31°, γ = 90.00°
Space group C2/c (No. 15)
Inequivalent atoms, fractional coordinates:
Tl 0.0000 0.1056 0.2500 (multiplicity 4)
Pb 0.2500 0.2500 0.0000 (multiplicity 4)
Au 0.0000 0.4403 0.2500 (multiplicity 4)
O 0.0000 0.1125 0.7500 (multiplicity 4)
O 0.1534 0.2884 0.2533 (multiplicity 8)
O 0.1622 0.4160 0.7546 (multiplicity 8)

Top 8 peaks for 15° ≤ 2θ ≤ 90°, in order of rising 2θ:
d [Å], 2θ/deg, I/Imax
3.434, 25.95, 92.1
3.240, 27.53, 88.6
2.969, 30.10, 75.8
2.893, 30.91, 100.0
2.817, 31.76, 48.9
2.443, 36.79, 35.7
1.796, 50.84, 34.8
1.662, 55.27, 27.1


# 3
Pd2AuO5: theoretical X-ray diffraction stick pattern (copper Kα), based on DFT lattice parameters and positions (PBE).

Cell and atoms:
a = 4.1856 Å, b = 10.0971 Å, c = 10.3708 Å
α = 90.00°, β = 90.00°, γ = 90.00°
Space group Cmcm (No. 63)
Inequivalent atoms, fractional coordinates:
Pd 0.0000 0.1430 0.0653 (multiplicity 8)
Au 0.0000 0.1998 0.7500 (multiplicity 4)
O 0.0000 0.0552 0.6078 (multiplicity 8)
O 0.0000 0.2441 0.2500 (multiplicity 4)
O 0.0000 0.3167 0.5692 (multiplicity 8)

Top 8 peaks for 15° ≤ 2θ ≤ 90°, in order of rising 2θ:
d [Å], 2θ/deg, I/Imax
5.049, 17.57, 77.8
3.867, 23.00, 79.9
3.621, 24.59, 68.0
2.852, 31.36, 79.3
2.623, 34.19, 58.9
2.577, 34.81, 100.0
2.093, 43.23, 39.5
1.687, 54.37, 33.1